No. 1
# Li3YNi2O6
Computed PXRD pattern, λ = 1.5418 Å (Cu Kα). Input: the PBE+U geometry in the Materials Project.
Peak positions follow from Bragg's law for the DFT cell and can differ from measured ones.

Crystal structure
Lattice parameters (Å, degrees): 5.315 5.315 5.225 98.60 98.60 120.72
Fractional coordinates of all 12 atoms:
Li 0.000 0.000 0.000
Li 0.308 0.692 0.000
Li 0.692 0.308 0.000
Y 0.500 0.500 0.500
Ni 0.166 0.834 0.500
Ni 0.834 0.166 0.500
O 0.063 0.425 0.268
O 0.206 0.206 0.737
O 0.425 0.063 0.268
O 0.575 0.937 0.732
O 0.794 0.794 0.263
O 0.937 0.575 0.732

Peak list (8 most intense, 5° ≤ 2θ ≤ 70°, by angle)
2θ (°)  I_rel
17.81  100
34.18  33
34.88  17
36.08  21
41.36  51
42.76  23
60.85  14
61.15  14

=====

No. 2
# Li3YNi2O6
Computed PXRD pattern, λ = 1.5418 Å (Cu Kα). Input: the PBE+U geometry in the Materials Project.
Peak positions follow from Bragg's law for the DFT cell and can differ from measured ones.

Crystal structure
Lattice parameters (Å, degrees): 5.192 5.223 5.315 61.11 81.91 72.58
Fractional coordinates of all 12 atoms:
Li 0.000 0.000 0.000
Li 0.009 0.675 0.620
Li 0.991 0.325 0.380
Y 0.500 0.500 0.000
Ni 0.499 0.166 0.665
Ni 0.501 0.834 0.335
O 0.262 0.229 0.963
O 0.265 0.601 0.341
O 0.277 0.941 0.622
O 0.723 0.059 0.378
O 0.735 0.399 0.659
O 0.738 0.771 0.037

Peak list (8 most intense, 5° ≤ 2θ ≤ 70°, by angle)
2θ (°)  I_rel
17.90  100
33.92  22
34.16  14
35.14  15
36.22  14
41.25  27
41.33  24
43.10  22

=====

No. 3
# Li3YNi2O6
Computed PXRD pattern, λ = 1.5418 Å (Cu Kα). Input: the PBE+U geometry in the Materials Project.
Peak positions follow from Bragg's law for the DFT cell and can differ from measured ones.

Crystal structure
Lattice parameters (Å, degrees): 5.326 5.326 10.122 95.99 95.99 120.59
Fractional coordinates of all 24 atoms:
Li 0.055 0.446 0.750
Li 0.228 0.228 0.250
Li 0.340 0.118 0.751
Li 0.554 0.945 0.250
Li 0.772 0.772 0.750
Li 0.882 0.660 0.249
Y 0.308 0.692 0.500
Y 0.803 0.197 0.000
Ni 0.138 0.862 0.000
Ni 0.470 0.530 0.000
Ni 0.641 0.359 0.500
Ni 0.973 0.027 0.500
O 0.113 0.126 0.889
O 0.202 0.623 0.115
O 0.238 0.001 0.389
O 0.326 0.362 0.617
O 0.377 0.798 0.885
O 0.473 0.215 0.117
O 0.638 0.674 0.383
O 0.734 0.092 0.615
O 0.785 0.527 0.883
O 0.874 0.887 0.111
O 0.908 0.266 0.385
O 0.999 0.762 0.611

Peak list (8 most intense, 5° ≤ 2θ ≤ 70°, by angle)
2θ (°)  I_rel
17.93  100
34.10  32
34.78  17
36.06  14
41.36  49
42.81  22
60.63  13
61.46  13

=====

No. 4
# Rb2LiVP2O8
Computed PXRD pattern, λ = 1.5418 Å (Cu Kα). Input: the PBE+U geometry in the Materials Project.
Peak positions follow from Bragg's law for the DFT cell and can differ from measured ones.

Crystal structure
Lattice parameters (Å, degrees): 7.295 9.692 12.739 90.00 90.00 90.00
Fractional coordinates of all 56 atoms:
Rb 0.192 0.089 0.091
Rb 0.232 0.694 0.901
Rb 0.268 0.306 0.401
Rb 0.308 0.911 0.591
Rb 0.692 0.411 0.909
Rb 0.732 0.806 0.099
Rb 0.768 0.194 0.599
Rb 0.808 0.589 0.409
Li 0.130 0.379 0.995
Li 0.370 0.621 0.495
Li 0.630 0.121 0.005
Li 0.870 0.879 0.505
V 0.248 0.750 0.300
V 0.252 0.250 0.800
V 0.748 0.750 0.700
V 0.752 0.250 0.200
P 0.018 0.526 0.151
P 0.081 0.512 0.672
P 0.419 0.488 0.172
P 0.482 0.474 0.651
P 0.518 0.974 0.849
P 0.581 0.988 0.328
P 0.919 0.012 0.828
P 0.982 0.026 0.349
O 0.012 0.153 0.811
O 0.025 0.428 0.577
O 0.026 0.038 0.466
O 0.062 0.668 0.199
O 0.091 0.433 0.777
O 0.120 0.946 0.283
O 0.174 0.712 0.432
O 0.205 0.431 0.152
O 0.295 0.569 0.652
O 0.326 0.288 0.932
O 0.380 0.054 0.783
O 0.409 0.567 0.277
O 0.438 0.332 0.699
O 0.474 0.962 0.966
O 0.475 0.572 0.077
O 0.488 0.847 0.311
O 0.512 0.347 0.189
O 0.525 0.072 0.423
O 0.526 0.462 0.534
O 0.562 0.832 0.801
O 0.591 0.067 0.223
O 0.620 0.554 0.717
O 0.674 0.788 0.568
O 0.705 0.069 0.848
O 0.795 0.931 0.348
O 0.826 0.212 0.068
O 0.880 0.446 0.217
O 0.909 0.933 0.723
O 0.938 0.168 0.301
O 0.974 0.538 0.034
O 0.975 0.928 0.923
O 0.988 0.653 0.689

Peak list (8 most intense, 5° ≤ 2θ ≤ 70°, by angle)
2θ (°)  I_rel
23.11  48
25.96  92
26.14  100
29.52  26
29.69  57
30.68  31
31.05  37
37.85  23

=====

No. 5
# RbLiVPO5
Computed PXRD pattern, λ = 1.5418 Å (Cu Kα). Input: the PBE+U geometry in the Materials Project.
Peak positions follow from Bragg's law for the DFT cell and can differ from measured ones.

Crystal structure
Lattice parameters (Å, degrees): 7.573 8.405 8.598 90.00 90.00 90.00
Fractional coordinates of all 36 atoms:
Rb 0.115 0.045 0.267
Rb 0.385 0.955 0.767
Rb 0.615 0.455 0.733
Rb 0.885 0.545 0.233
Li 0.177 0.745 0.048
Li 0.323 0.255 0.548
Li 0.677 0.755 0.952
Li 0.823 0.245 0.452
V 0.095 0.475 0.628
V 0.405 0.525 0.128
V 0.595 0.025 0.372
V 0.905 0.975 0.872
P 0.137 0.315 0.900
P 0.363 0.685 0.400
P 0.637 0.185 0.100
P 0.863 0.815 0.600
O 0.019 0.918 0.667
O 0.064 0.313 0.490
O 0.084 0.143 0.939
O 0.201 0.394 0.053
O 0.225 0.681 0.265
O 0.275 0.319 0.765
O 0.299 0.606 0.553
O 0.416 0.857 0.439
O 0.436 0.687 0.990
O 0.481 0.082 0.167
O 0.519 0.582 0.333
O 0.564 0.187 0.510
O 0.584 0.357 0.061
O 0.701 0.106 0.947
O 0.725 0.819 0.735
O 0.775 0.181 0.235
O 0.799 0.894 0.447
O 0.916 0.643 0.561
O 0.936 0.813 0.010
O 0.981 0.418 0.833

Peak list (8 most intense, 5° ≤ 2θ ≤ 70°, by angle)
2θ (°)  I_rel
21.14  25
23.56  47
25.81  31
26.09  42
27.85  100
29.73  27
33.45  46
45.16  21

=====

No. 6
# Li6VSb3P6O24
Computed PXRD pattern, λ = 1.5418 Å (Cu Kα). Input: the PBE+U geometry in the Materials Project.
Peak positions follow from Bragg's law for the DFT cell and can differ from measured ones.

Crystal structure
Lattice parameters (Å, degrees): 8.577 8.580 8.610 65.25 65.40 64.82
Fractional coordinates of all 40 atoms:
Li 0.000 0.000 0.000
Li 0.061 0.530 0.914
Li 0.344 0.169 0.740
Li 0.493 0.866 0.118
Li 0.723 0.291 0.478
Li 0.813 0.658 0.270
V 0.694 0.489 0.099
Sb 0.007 0.796 0.407
Sb 0.209 0.994 0.601
Sb 0.503 0.299 0.909
P 0.091 0.215 0.161
P 0.278 0.706 0.999
P 0.425 0.567 0.502
P 0.590 0.072 0.321
P 0.774 0.903 0.849
P 0.913 0.397 0.676
O 0.039 0.075 0.144
O 0.102 0.252 0.676
O 0.102 0.728 0.159
O 0.139 0.154 0.332
O 0.246 0.262 0.981
O 0.262 0.586 0.458
O 0.267 0.899 0.859
O 0.273 0.577 0.922
O 0.409 0.723 0.555
O 0.445 0.063 0.512
O 0.450 0.644 0.056
O 0.460 0.377 0.651
O 0.509 0.074 0.191
O 0.575 0.041 0.870
O 0.601 0.548 0.339
O 0.646 0.242 0.266
O 0.753 0.730 0.012
O 0.754 0.897 0.334
O 0.785 0.326 0.660
O 0.840 0.865 0.671
O 0.841 0.452 0.851
O 0.897 0.973 0.870
O 0.927 0.566 0.508
O 0.932 0.397 0.155

Peak list (8 most intense, 5° ≤ 2θ ≤ 70°, by angle)
2θ (°)  I_rel
14.11  31
19.14  51
19.30  27
20.81  100
23.30  52
32.90  50
33.37  27
33.66  49